SrEr2O4: calculated powder diffraction line list (λ = 1.5418 Å (Cu Kα)), based on the GGA-PBE geometry in the Materials Project.
Kinematic intensities with the Lorentz-polarization factor, no thermal factor.

Largest 10 diffraction maxima, sorted by position, 2θ from 10° to 90°:
- d = 7.812 Å, 11.3 deg, I = 100.0, hkl 0 0 1
- d = 4.938 Å, 18.0 deg, I = 55.3, hkl 1 0 -1
- d = 3.383 Å, 26.3 deg, I = 27.1, hkl 1 0 -2
- d = 3.184 Å, 28.0 deg, I = 37.8, hkl 1 0 2
- d = 2.986 Å, 29.9 deg, I = 43.6, hkl 0 1 1
- d = 2.650 Å, 33.8 deg, I = 25.5, hkl 1 1 1
- d = 2.337 Å, 38.5 deg, I = 29.1, hkl 1 1 -2
- d = 2.206 Å, 40.9 deg, I = 29.8, hkl 2 1 0
- d = 2.150 Å, 42.0 deg, I = 23.0, hkl 2 1 -1
- d = 1.893 Å, 48.1 deg, I = 27.6, hkl 1 1 3

Crystal structure
Cell lengths 6.0498, 3.2316, 7.8293 Å; angles 90.00, 93.80, 90.00 degrees
Fractional coordinates of all 7 atoms:
Sr (0.0000, 0.0000, 0.0000)
Er (0.1410, 0.5000, 0.4717)
Er (0.6564, 0.5000, 0.6643)
O (0.1161, 0.0000, 0.2896)
O (0.4021, 0.0000, 0.5985)
O (0.7487, 0.5000, 0.9208)
O (0.9029, 0.0000, 0.6023)